Simulated powder XRD pattern of Li3V4O7F5 for Cu Kα, from DFT lattice parameters and positions (GGA+U).
Peak positions follow from Bragg's law for the DFT cell and can differ from measured ones.

Top 12 peaks for 5 to 70 degrees two-theta, sorted by position:
2θ/deg	I (rel.)	h k l
23.52	100	1 0 1
23.92	95	0 1 2
24.41	98	1 1 -1
32.85	23	-1 1 1
33.19	24	0 1 -2
33.51	22	1 2 1
39.92	27	1 0 3
40.43	27	1 2 3
41.03	24	1 1 -3
48.11	20	2 0 2
50.02	19	2 2 -2
62.32	22	3 2 3

Cell and atoms:
Lattice parameters (Å, degrees): 5.1178 5.3653 8.8788 73.40 88.86 62.85
Fractional coordinates of all 19 atoms:
Li 0.0000 0.0000 0.0000
Li 0.2219 0.5272 0.7627
Li 0.4559 0.0602 0.5058
V 0.1321 0.7303 0.3946
V 0.4352 0.1528 0.1562
V 0.6886 0.6281 0.8996
V 0.8572 0.1830 0.6577
O 0.3541 0.8988 0.3481
O 0.4864 0.3907 0.5918
O 0.5028 0.4038 0.9753
O 0.8573 0.8770 0.8384
O 0.8784 0.8950 0.2263
O 0.9289 0.8901 0.5319
O 0.9355 0.3611 0.7936
F 0.0204 0.3792 0.4851
F 0.3652 0.8732 0.7136
F 0.4077 0.3906 0.3002
F 0.4202 0.8979 0.0313
F 0.9913 0.3913 0.0899